1.
# Y2BiO2
Theoretical powder X-ray diffraction pattern, Cu Kα (λ = 1.5418 Å). Input: a crystal structure in the Materials Project, relaxed with PBE.
Neutral-atom scattering factors, no anomalous dispersion.

Top 12 peaks for 2θ from 15° to 90°, most intense first:
(1 0 3), 2θ 30.2, I 100; (1 1 0), 2θ 32.4, I 35; (2 1 3), 2θ 56.4, I 34; (1 1 6), 2θ 52.1, I 25; (2 0 0), 2θ 46.5, I 18; (1 0 1), 2θ 23.7, I 16; (2 1 9), 2θ 84.7, I 11; (2 0 6), 2θ 62.7, I 11; (1 0 9), 2θ 66.2, I 11; (0 0 6), 2θ 39.7, I 10; (1 1 2), 2θ 35.0, I 9; (3 0 3), 2θ 76.0, I 7

Cell and atoms:
Cell lengths 3.9080, 3.9080, 13.6217 Å; angles 90.00, 90.00, 90.00 degrees
Space group I4/mmm (No. 139)
Symmetry-distinct sites (fractional):
Y 0.0000 0.0000 0.1688
Bi 0.0000 0.0000 0.5000
O 0.0000 0.5000 0.2500


2.
# Na3Sc2P3O12
Theoretical powder X-ray diffraction pattern, Cu Kα (λ = 1.5418 Å). Input: a crystal structure in the Materials Project, relaxed with PBE.
Neutral-atom scattering factors, no anomalous dispersion.

Top 12 peaks for 2θ from 15° to 90°, most intense first:
(3 1 -2), 2θ 23.1, I 100; (4 2 -1), 2θ 30.6, I 77; (3 1 1), 2θ 30.3, I 45; (2 2 -2), 2θ 27.8, I 44; (0 2 1), 2θ 22.9, I 42; (3 3 -1), 2θ 34.5, I 37; (3 1 0), 2θ 22.7, I 29; (3 5 -1), 2θ 54.0, I 28; (1 1 1), 2θ 19.1, I 20; (3 1 -3), 2θ 30.9, I 20; (4 0 0), 2θ 27.4, I 19; (2 0 -2), 2θ 19.4, I 18

Cell and atoms:
Cell lengths 15.5772, 8.9930, 9.1838 Å; angles 90.00, 123.24, 90.00 degrees
Space group Cc (No. 9)
Symmetry-distinct sites (fractional):
Na 0.0000 0.1069 0.0000
Na 0.1910 0.3504 0.3075
Na 0.3195 0.1210 0.1616
Sc 0.1008 0.2536 0.8029
Sc 0.4005 0.2490 0.6980
P 0.0003 0.4545 0.0016
P 0.1416 0.1101 0.4884
P 0.3588 0.3899 0.0111
O 0.0576 0.1812 0.3119
O 0.0633 0.4525 0.6696
O 0.0779 0.3504 0.9940
O 0.1171 0.1354 0.6283
O 0.1454 0.0619 0.9700
O 0.2465 0.1772 0.5416
O 0.2559 0.3168 0.9599
O 0.3533 0.4389 0.5295
O 0.3827 0.3674 0.8701
O 0.4199 0.1466 0.5041
O 0.4408 0.0535 0.8380
O 0.4441 0.3187 0.1866


3.
# CeBiAu2
Theoretical powder X-ray diffraction pattern, Cu Kα (λ = 1.5418 Å). Input: a crystal structure in the Materials Project, relaxed with PBE.
Neutral-atom scattering factors, no anomalous dispersion.

Top 9 peaks for 2θ from 15° to 90°, most intense first:
(2 2 0), 2θ 34.8, I 100; (4 2 2), 2θ 62.3, I 38; (4 0 0), 2θ 50.0, I 18; (6 2 0), 2θ 83.8, I 17; (4 4 0), 2θ 73.4, I 12; (1 1 1), 2θ 21.1, I 2; (3 1 1), 2θ 41.0, I 1; (2 0 0), 2θ 24.4, I 1; (3 3 1), 2θ 54.8, I 1

Cell and atoms:
Cell lengths 7.2977, 7.2977, 7.2977 Å; angles 90.00, 90.00, 90.00 degrees
Space group Fm-3m (No. 225)
Symmetry-distinct sites (fractional):
Ce 0.0000 0.0000 0.0000
Bi 0.0000 0.0000 0.5000
Au 0.2500 0.2500 0.2500


4.
# Ce3Al
Theoretical powder X-ray diffraction pattern, Cu Kα (λ = 1.5418 Å). Input: a crystal structure in the Materials Project, relaxed with PBE.
Neutral-atom scattering factors, no anomalous dispersion.

Top 12 peaks for 2θ from 15° to 90°, most intense first:
(1 1 1), 2θ 33.1, I 100; (2 0 0), 2θ 38.4, I 50; (3 1 1), 2θ 66.0, I 40; (2 2 0), 2θ 55.4, I 34; (1 0 0), 2θ 18.9, I 19; (1 1 0), 2θ 26.9, I 16; (2 2 2), 2θ 69.4, I 12; (2 1 0), 2θ 43.1, I 9; (2 1 1), 2θ 47.5, I 7; (4 0 0), 2θ 82.2, I 5; (3 0 0), 2θ 59.1, I 5; (3 2 1), 2θ 75.9, I 3

Cell and atoms:
Cell lengths 4.6925, 4.6925, 4.6925 Å; angles 90.00, 90.00, 90.00 degrees
Space group Pm-3m (No. 221)
Symmetry-distinct sites (fractional):
Ce 0.0000 0.0000 0.5000
Al 0.5000 0.5000 0.5000